Diffraction record for CdIn. The X-ray powder pattern is simulated, not measured: it uses a crystal structure in Alexandria, relaxed with GGA-PBE and Cu Kα (weighted mean of Kα1 and Kα2).
Lines closer than 0.1° are merged.

Largest 12 diffraction maxima, sorted by position, 2θ = 10–90°:
- 2.836 Å, 31.55 deg, I 11
- 2.810 Å, 31.84 deg, I 17
- 2.795 Å, 32.02 deg, I 9
- 2.759 Å, 32.45 deg, I 45
- 2.522 Å, 35.59 deg, I 31
- 2.504 Å, 35.86 deg, I 100
- 1.969 Å, 46.10 deg, I 12
- 1.618 Å, 56.92 deg, I 9
- 1.539 Å, 60.12 deg, I 21
- 1.405 Å, 66.56 deg, I 11
- 1.395 Å, 67.07 deg, I 10
- 1.362 Å, 68.97 deg, I 8

abc: 3.2352 16.5547 5.6717
angles: 90.00 90.00 90.00
Element x y z (fractional)
Cd 0.2500 0.0863 0.1036
Cd 0.2500 0.4137 0.1036
Cd 0.2500 0.7500 0.0013
Cd 0.7500 0.2500 0.9987
Cd 0.7500 0.5863 0.8964
Cd 0.7500 0.9137 0.8964
In 0.2500 0.2500 0.4937
In 0.2500 0.5812 0.3899
In 0.2500 0.9188 0.3899
In 0.7500 0.0812 0.6101
In 0.7500 0.4188 0.6101
In 0.7500 0.7500 0.5063


Diffraction record for CdIn. The X-ray powder pattern is simulated, not measured: it uses a crystal structure in Alexandria, relaxed with GGA-PBE and Cu Kα (weighted mean of Kα1 and Kα2).
Lines closer than 0.1° are merged.

Largest 12 diffraction maxima, sorted by position, 2θ = 10–90°:
- 3.052 Å, 29.26 deg, I 43
- 2.860 Å, 31.27 deg, I 96
- 2.693 Å, 33.27 deg, I 39
- 2.558 Å, 35.08 deg, I 46
- 2.242 Å, 40.23 deg, I 100
- 2.087 Å, 43.35 deg, I 24
- 2.023 Å, 44.81 deg, I 23
- 1.855 Å, 49.12 deg, I 15
- 1.618 Å, 56.92 deg, I 18
- 1.408 Å, 66.41 deg, I 37
- 1.387 Å, 67.51 deg, I 14
- 1.385 Å, 67.62 deg, I 19

abc: 11.4412 11.4412 3.1673
angles: 90.00 90.00 90.00
Element x y z (fractional)
Cd 0.0993 0.6292 0.0000
Cd 0.1314 0.3983 0.5000
Cd 0.3708 0.0993 0.0000
Cd 0.3983 0.8686 0.5000
Cd 0.6017 0.1314 0.5000
Cd 0.6292 0.9007 0.0000
Cd 0.8686 0.6017 0.5000
Cd 0.9007 0.3708 0.0000
In 0.1093 0.1620 0.0000
In 0.1620 0.8907 0.0000
In 0.3360 0.6067 0.5000
In 0.3933 0.3360 0.5000
In 0.6067 0.6640 0.5000
In 0.6640 0.3933 0.5000
In 0.8380 0.1093 0.0000
In 0.8907 0.8380 0.0000


Diffraction record for Cd5In7. The X-ray powder pattern is simulated, not measured: it uses a crystal structure in Alexandria, relaxed with GGA-PBE and Cu Kα (weighted mean of Kα1 and Kα2).
Lines closer than 0.1° are merged.

Largest 12 diffraction maxima, sorted by position, 2θ = 10–90°:
- 2.693 Å, 33.27 deg, I 100
- 2.366 Å, 38.02 deg, I 17
- 2.316 Å, 38.89 deg, I 33
- 1.655 Å, 55.52 deg, I 21
- 1.638 Å, 56.14 deg, I 6
- 1.636 Å, 56.21 deg, I 5
- 1.421 Å, 65.69 deg, I 12
- 1.399 Å, 66.88 deg, I 25
- 1.347 Å, 69.82 deg, I 5
- 1.346 Å, 69.89 deg, I 5
- 1.183 Å, 81.32 deg, I 2
- 1.158 Å, 83.49 deg, I 4

abc: 3.2727 9.8303 9.4659
angles: 90.00 90.00 90.00
Element x y z (fractional)
Cd 0.0000 0.0000 0.0000
Cd 0.0000 0.3270 0.4886
Cd 0.0000 0.6730 0.4886
Cd 0.5000 0.1656 0.2375
Cd 0.5000 0.8344 0.2375
In 0.0000 0.0000 0.4763
In 0.0000 0.3314 0.9971
In 0.0000 0.6686 0.9971
In 0.5000 0.1651 0.7400
In 0.5000 0.5000 0.2585
In 0.5000 0.5000 0.7297
In 0.5000 0.8349 0.7400


Diffraction record for CdIn. The X-ray powder pattern is simulated, not measured: it uses a crystal structure in Alexandria, relaxed with GGA-PBE and Cu Kα (weighted mean of Kα1 and Kα2).
Lines closer than 0.1° are merged.

Largest 12 diffraction maxima, sorted by position, 2θ = 10–90°:
- 2.831 Å, 31.61 deg, I 14
- 2.809 Å, 31.86 deg, I 20
- 2.761 Å, 32.43 deg, I 42
- 2.519 Å, 35.64 deg, I 45
- 2.504 Å, 35.87 deg, I 100
- 1.976 Å, 45.92 deg, I 10
- 1.969 Å, 46.10 deg, I 14
- 1.630 Å, 56.45 deg, I 16
- 1.539 Å, 60.10 deg, I 21
- 1.404 Å, 66.62 deg, I 23
- 1.396 Å, 67.06 deg, I 10
- 1.361 Å, 69.00 deg, I 12

abc: 3.2353 5.5216 5.6612
angles: 90.00 90.00 90.00
Element x y z (fractional)
Cd 0.2500 0.2500 0.0750
Cd 0.7500 0.7500 0.9250
In 0.2500 0.7500 0.4190
In 0.7500 0.2500 0.5810


Diffraction record for CdIn. The X-ray powder pattern is simulated, not measured: it uses a crystal structure in Alexandria, relaxed with GGA-PBE and Cu Kα (weighted mean of Kα1 and Kα2).
Lines closer than 0.1° are merged.

Largest 12 diffraction maxima, sorted by position, 2θ = 10–90°:
- 2.937 Å, 30.44 deg, I 25
- 2.566 Å, 34.96 deg, I 23
- 2.549 Å, 35.21 deg, I 100
- 1.933 Å, 47.02 deg, I 14
- 1.696 Å, 54.09 deg, I 19
- 1.478 Å, 62.86 deg, I 17
- 1.468 Å, 63.34 deg, I 3
- 1.415 Å, 66.04 deg, I 20
- 1.412 Å, 66.19 deg, I 15
- 1.275 Å, 74.44 deg, I 4
- 1.176 Å, 81.93 deg, I 3
- 1.114 Å, 87.55 deg, I 7

abc: 3.3912 3.3912 5.1330
angles: 90.00 90.00 120.00
Element x y z (fractional)
Cd 0.0000 0.0000 0.0000
In 0.6667 0.3333 0.5000


Diffraction record for Cd8In3. The X-ray powder pattern is simulated, not measured: it uses a crystal structure in Alexandria, relaxed with GGA-PBE and Cu Kα (weighted mean of Kα1 and Kα2).
Lines closer than 0.1° are merged.

Largest 12 diffraction maxima, sorted by position, 2θ = 10–90°:
- 3.333 Å, 26.75 deg, I 41
- 3.134 Å, 28.48 deg, I 100
- 2.849 Å, 31.40 deg, I 23
- 2.777 Å, 32.23 deg, I 92
- 2.486 Å, 36.13 deg, I 46
- 2.350 Å, 38.30 deg, I 43
- 2.128 Å, 42.47 deg, I 16
- 2.032 Å, 44.59 deg, I 72
- 1.898 Å, 47.92 deg, I 24
- 1.450 Å, 64.25 deg, I 14
- 1.424 Å, 65.54 deg, I 19
- 1.338 Å, 70.36 deg, I 19

abc: 6.7523 6.7523 6.7523
angles: 96.11 96.11 96.11
Element x y z (fractional)
Cd 0.1391 0.1391 0.1391
Cd 0.1846 0.5768 0.4229
Cd 0.4229 0.1846 0.5768
Cd 0.4232 0.5771 0.8154
Cd 0.5768 0.4229 0.1846
Cd 0.5771 0.8154 0.4232
Cd 0.8154 0.4232 0.5771
Cd 0.8609 0.8609 0.8609
In 0.0000 0.0000 0.5000
In 0.0000 0.5000 0.0000
In 0.5000 0.0000 0.0000


Diffraction record for CdIn. The X-ray powder pattern is simulated, not measured: it uses a crystal structure in Alexandria, relaxed with GGA-PBE and Cu Kα (weighted mean of Kα1 and Kα2).
Lines closer than 0.1° are merged.

Largest 12 diffraction maxima, sorted by position, 2θ = 10–90°:
- 2.676 Å, 33.48 deg, I 100
- 2.397 Å, 37.53 deg, I 17
- 2.285 Å, 39.43 deg, I 16
- 2.277 Å, 39.59 deg, I 16
- 1.654 Å, 55.56 deg, I 11
- 1.650 Å, 55.70 deg, I 12
- 1.613 Å, 57.11 deg, I 10
- 1.432 Å, 65.15 deg, I 12
- 1.383 Å, 67.74 deg, I 12
- 1.379 Å, 67.95 deg, I 12
- 1.338 Å, 70.36 deg, I 10
- 1.143 Å, 84.86 deg, I 2

abc: 4.5531 4.5707 9.5867
angles: 90.00 90.00 90.00
Element x y z (fractional)
Cd 0.0000 0.2500 0.1140
Cd 0.0000 0.7500 0.8860
Cd 0.5000 0.2500 0.8860
Cd 0.5000 0.7500 0.1140
In 0.0000 0.2500 0.6357
In 0.0000 0.7500 0.3643
In 0.5000 0.2500 0.3643
In 0.5000 0.7500 0.6357


Diffraction record for CdIn. The X-ray powder pattern is simulated, not measured: it uses a crystal structure in Alexandria, relaxed with GGA-PBE and Cu Kα (weighted mean of Kα1 and Kα2).
Lines closer than 0.1° are merged.

Largest 10 diffraction maxima, sorted by position, 2θ = 10–90°:
- 2.787 Å, 32.12 deg, I 67
- 2.521 Å, 35.61 deg, I 100
- 1.971 Å, 46.06 deg, I 24
- 1.640 Å, 56.09 deg, I 6
- 1.553 Å, 59.54 deg, I 43
- 1.413 Å, 66.11 deg, I 15
- 1.394 Å, 67.17 deg, I 7
- 1.261 Å, 75.41 deg, I 10
- 1.246 Å, 76.41 deg, I 10
- 1.220 Å, 78.41 deg, I 9

abc: 3.9416 3.9416 6.5592
angles: 90.00 90.00 90.00
Element x y z (fractional)
Cd 0.2500 0.2500 0.1162
Cd 0.7500 0.7500 0.8838
In 0.2500 0.2500 0.6298
In 0.7500 0.7500 0.3702


Diffraction record for CdIn. The X-ray powder pattern is simulated, not measured: it uses a crystal structure in Alexandria, relaxed with GGA-PBE and Cu Kα (weighted mean of Kα1 and Kα2).
Lines closer than 0.1° are merged.

Largest 12 diffraction maxima, sorted by position, 2θ = 10–90°:
- 2.837 Å, 31.54 deg, I 36
- 2.779 Å, 32.21 deg, I 33
- 2.507 Å, 35.82 deg, I 100
- 1.985 Å, 45.70 deg, I 24
- 1.616 Å, 56.98 deg, I 6
- 1.566 Å, 58.97 deg, I 22
- 1.547 Å, 59.79 deg, I 20
- 1.404 Å, 66.60 deg, I 8
- 1.397 Å, 66.98 deg, I 7
- 1.263 Å, 75.21 deg, I 5
- 1.253 Å, 75.92 deg, I 10
- 1.225 Å, 78.01 deg, I 9

abc: 3.2322 5.6735 11.1176
angles: 90.00 90.00 90.00
Element x y z (fractional)
Cd 0.0000 0.2500 0.1311
Cd 0.0000 0.7500 0.8689
Cd 0.5000 0.2500 0.3689
Cd 0.5000 0.7500 0.6311
In 0.0000 0.2500 0.6188
In 0.0000 0.7500 0.3812
In 0.5000 0.2500 0.8812
In 0.5000 0.7500 0.1188


Diffraction record for Cd17In12. The X-ray powder pattern is simulated, not measured: it uses a crystal structure in Alexandria, relaxed with GGA-PBE and Cu Kα (weighted mean of Kα1 and Kα2).
Lines closer than 0.1° are merged.

Largest 12 diffraction maxima, sorted by position, 2θ = 10–90°:
- 3.030 Å, 29.48 deg, I 8
- 2.834 Å, 31.57 deg, I 24
- 2.672 Å, 33.54 deg, I 100
- 2.417 Å, 37.20 deg, I 38
- 2.314 Å, 38.92 deg, I 14
- 2.223 Å, 40.57 deg, I 28
- 1.603 Å, 57.48 deg, I 17
- 1.543 Å, 59.96 deg, I 18
- 1.515 Å, 61.17 deg, I 11
- 1.489 Å, 62.38 deg, I 10
- 1.396 Å, 67.07 deg, I 8
- 1.318 Å, 71.60 deg, I 12

abc: 9.8185 9.8185 9.8185
angles: 109.47 109.47 109.47
Element x y z (fractional)
Cd 0.0000 0.0000 0.0000
Cd 0.0000 0.0000 0.3277
Cd 0.0000 0.3044 0.5794
Cd 0.0000 0.3277 0.0000
Cd 0.0000 0.5794 0.3044
Cd 0.2750 0.6956 0.6956
Cd 0.3044 0.0000 0.5794
Cd 0.3044 0.5794 0.0000
Cd 0.3277 0.0000 0.0000
Cd 0.4206 0.4206 0.7250
Cd 0.4206 0.7250 0.4206
Cd 0.5794 0.0000 0.3044
Cd 0.5794 0.3044 0.0000
Cd 0.6723 0.6723 0.6723
Cd 0.6956 0.2750 0.6956
Cd 0.6956 0.6956 0.2750
Cd 0.7250 0.4206 0.4206
In 0.0000 0.6100 0.8050
In 0.0000 0.8050 0.6100
In 0.1950 0.1950 0.8050
In 0.1950 0.3900 0.3900
In 0.1950 0.8050 0.1950
In 0.3900 0.1950 0.3900
In 0.3900 0.3900 0.1950
In 0.6100 0.0000 0.8050
In 0.6100 0.8050 0.0000
In 0.8050 0.0000 0.6100
In 0.8050 0.1950 0.1950
In 0.8050 0.6100 0.0000


Diffraction record for Cd11In. The X-ray powder pattern is simulated, not measured: it uses a crystal structure in Alexandria, relaxed with GGA-PBE and Cu Kα (weighted mean of Kα1 and Kα2).
Lines closer than 0.1° are merged.

Largest 12 diffraction maxima, sorted by position, 2θ = 10–90°:
- 3.106 Å, 28.75 deg, I 30
- 2.746 Å, 32.61 deg, I 92
- 2.728 Å, 32.83 deg, I 65
- 2.548 Å, 35.22 deg, I 30
- 2.405 Å, 37.40 deg, I 15
- 2.352 Å, 38.28 deg, I 33
- 2.329 Å, 38.65 deg, I 100
- 2.237 Å, 40.31 deg, I 36
- 1.579 Å, 58.47 deg, I 32
- 1.486 Å, 62.51 deg, I 14
- 1.428 Å, 65.33 deg, I 13
- 1.364 Å, 68.82 deg, I 17

abc: 9.4717 9.4717 9.4717
angles: 99.81 99.81 131.25
Element x y z (fractional)
Cd 0.0000 0.0000 0.0000
Cd 0.0000 0.0000 0.5000
Cd 0.0000 0.5000 0.0000
Cd 0.1253 0.5523 0.3322
Cd 0.1253 0.7931 0.5730
Cd 0.1250 0.8750 0.2500
Cd 0.2069 0.2799 0.3322
Cd 0.2069 0.8747 0.9270
Cd 0.2799 0.2069 0.8322
Cd 0.2799 0.4477 0.0730
Cd 0.4477 0.2799 0.5730
Cd 0.4477 0.8747 0.1678
Cd 0.5000 0.0000 0.5000
Cd 0.5523 0.1253 0.8322
Cd 0.5523 0.7201 0.4270
Cd 0.7201 0.5523 0.9270
Cd 0.7201 0.7931 0.1678
Cd 0.7931 0.1253 0.0730
Cd 0.7931 0.7201 0.6678
Cd 0.8750 0.1250 0.7500
Cd 0.8747 0.2069 0.4270
Cd 0.8747 0.4477 0.6678
In 0.3750 0.6250 0.7500
In 0.6250 0.3750 0.2500


Diffraction record for Cd2In7. The X-ray powder pattern is simulated, not measured: it uses a crystal structure in Alexandria, relaxed with GGA-PBE and Cu Kα (weighted mean of Kα1 and Kα2).
Lines closer than 0.1° are merged.

Largest 12 diffraction maxima, sorted by position, 2θ = 10–90°:
- 2.775 Å, 32.26 deg, I 35
- 2.709 Å, 33.06 deg, I 100
- 2.360 Å, 38.13 deg, I 67
- 1.684 Å, 54.50 deg, I 23
- 1.654 Å, 55.55 deg, I 22
- 1.439 Å, 64.76 deg, I 13
- 1.421 Å, 65.71 deg, I 26
- 1.412 Å, 66.18 deg, I 13
- 1.387 Å, 67.52 deg, I 4
- 1.355 Å, 69.37 deg, I 11
- 1.180 Å, 81.58 deg, I 7
- 1.098 Å, 89.16 deg, I 6

abc: 5.7311 5.7311 8.3240
angles: 90.00 90.00 120.00
Element x y z (fractional)
Cd 0.3333 0.6667 0.0000
Cd 0.6667 0.3333 0.0000
In 0.0000 0.0000 0.0000
In 0.0000 0.3360 0.6732
In 0.0000 0.6640 0.3268
In 0.3360 0.0000 0.6732
In 0.3360 0.3360 0.3268
In 0.6640 0.0000 0.3268
In 0.6640 0.6640 0.6732